Computed XRD peak list
Compound: Li2P2WO8
Radiation: CuKα
Structure: a crystal structure in the Materials Project, relaxed with PBE+U
Kinematic intensities with the Lorentz-polarization factor, no thermal factor.

Structure:
a b c (Å): 5.979 4.864 10.468
angles (deg): 90.00 90.04 90.00
Space group Pc (No. 7)
Asymmetric unit:
Li (0.000, 0.227, 0.000)
Li (0.814, 0.239, 0.711)
P (0.494, 0.159, 0.123)
P (0.991, 0.306, 0.313)
W (0.492, 0.273, 0.442)
O (0.196, 0.434, 0.392)
O (0.300, 0.028, 0.043)
O (0.489, 0.072, 0.264)
O (0.506, 0.473, 0.109)
O (0.696, 0.003, 0.559)
O (0.784, 0.452, 0.388)
O (0.978, 0.003, 0.829)
O (0.990, 0.420, 0.178)

Largest 10 diffraction maxima, most intense first, 5 to 70 degrees two-theta:
2θ = 20.13°, I = 100, (0 1 1); 2θ = 14.82°, I = 72, (1 0 0); 2θ = 35.03°, I = 58, (1 1 3); 2θ = 22.58°, I = 54, (1 0 -2); 2θ = 16.94°, I = 43, (0 0 2); 2θ = 25.07°, I = 38, (1 1 -1); 2θ = 36.30°, I = 38, (2 1 1); 2θ = 29.89°, I = 30, (2 0 0); 2θ = 25.09°, I = 29, (1 1 1); 2θ = 31.55°, I = 28, (0 1 3)

---

Computed XRD peak list
Compound: Li3P3WO11
Radiation: CuKα
Structure: a crystal structure in the Materials Project, relaxed with PBE+U
Kinematic intensities with the Lorentz-polarization factor, no thermal factor.

Structure:
a b c (Å): 6.413 8.155 8.227
angles (deg): 109.12 96.17 99.47
Space group P-1 (No. 2)
Asymmetric unit:
Li (0.090, 0.321, 0.426)
Li (0.116, 0.491, 0.824)
Li (0.212, 0.974, 0.962)
P (0.121, 0.914, 0.288)
P (0.360, 0.386, 0.140)
P (0.382, 0.729, 0.619)
W (0.406, 0.181, 0.725)
O (0.043, 0.042, 0.205)
O (0.074, 0.229, 0.706)
O (0.140, 0.423, 0.127)
O (0.186, 0.593, 0.617)
O (0.247, 0.016, 0.475)
O (0.273, 0.816, 0.174)
O (0.378, 0.915, 0.745)
O (0.384, 0.219, 0.989)
O (0.401, 0.327, 0.310)
O (0.415, 0.720, 0.438)
O (0.445, 0.462, 0.832)

Largest 10 diffraction maxima, most intense first, 5 to 70 degrees two-theta:
2θ = 13.28°, I = 100, (0 1 -1); 2θ = 14.22°, I = 99, (1 0 0); 2θ = 19.15°, I = 54, (1 -1 1); 2θ = 23.24°, I = 50, (0 0 2); 2θ = 29.92°, I = 42, (0 2 1); 2θ = 32.86°, I = 39, (0 1 -3); 2θ = 35.18°, I = 31, (0 3 -2); 2θ = 25.11°, I = 28, (1 0 -2); 2θ = 22.35°, I = 28, (0 2 -1); 2θ = 24.90°, I = 26, (1 -2 0)